Simulated powder X-ray diffraction pattern
Compound: LiSn3SbP6O24
Radiation: Cu Kα (λ = 1.5418 Å)
Structure: a structure optimized by DFT (PBE)

Peak list (12 most intense, 2θ from 5° to 70°, by intensity)
h k l  d/Å  Position (°2θ)  intensity
1 0 4  4.485  19.8  100
1 1 0  4.372  20.3  81
0 2 4  3.131  28.5  60
2 -1 6  2.829  31.6  51
1 1 3  3.767  23.6  50
0 1 2  6.261  14.1  34
2 1 4  2.545  35.3  33
3 0 0  2.524  35.6  32
2 1 10  1.757  52.0  24
1 4 0  1.652  55.6  22
4 -2 6  1.883  48.3  19
4 -3 4  1.965  46.2  19

Atomic structure:
```
data_LiSn3SbP6O24
_cell_length_a 8.7438
_cell_length_b 8.7438
_cell_length_c 22.2657
_cell_angle_alpha 90.00
_cell_angle_beta 90.00
_cell_angle_gamma 120.00
_space_group_name_H-M_alt 'R 3'
_space_group_IT_number 146
_space_group_name_Hall 'R 3'
loop_
_atom_site_label
_atom_site_type_symbol
_atom_site_fract_x
_atom_site_fract_y
_atom_site_fract_z
Li1 Li 0.0000 0.0000 0.0000
Sn1 Sn 0.0000 0.0000 0.1437
Sn2 Sn 0.0000 0.0000 0.3549
Sn3 Sn 0.0000 0.0000 0.6396
Sb1 Sb 0.0000 0.0000 0.8514
P1 P 0.0020 0.2909 0.7466
P2 P 0.0439 0.6720 0.9145
O1 O 0.0144 0.8078 0.1899
O2 O 0.0241 0.8422 0.9113
O3 O 0.0297 0.1975 0.4107
O4 O 0.0295 0.2043 0.6915
O5 O 0.1503 0.4634 0.4724
O6 O 0.1558 0.6822 0.2522
O7 O 0.1580 0.7050 0.9707
O8 O 0.1693 0.4763 0.7496
```


Simulated powder X-ray diffraction pattern
Compound: LaMg14Co
Radiation: Cu Kα (λ = 1.5418 Å)
Structure: a structure optimized by DFT (PBE)

Peak list (12 most intense, 2θ from 5° to 70°, by intensity)
h k l  d/Å  Position (°2θ)  intensity
2 2 2  2.385  37.7  100
1 0 0  10.347  8.5  92
2 0 4  2.544  35.3  77
4 0 0  2.587  34.7  45
0 2 2  2.688  33.3  43
1 0 2  5.087  17.4  36
4 2 2  1.864  48.9  27
0 0 2  5.842  15.2  27
1 2 0  2.904  30.8  23
2 0 0  5.174  17.1  21
6 2 2  1.451  64.2  21
4 2 6  1.384  67.7  17

Atomic structure:
```
data_LaMg14Co
_cell_length_a 10.3473
_cell_length_b 6.0544
_cell_length_c 11.6845
_cell_angle_alpha 90.00
_cell_angle_beta 90.00
_cell_angle_gamma 90.00
_space_group_name_H-M_alt 'A m m 2'
_space_group_IT_number 38
_space_group_name_Hall 'A 2 -2'
loop_
_atom_site_label
_atom_site_type_symbol
_atom_site_fract_x
_atom_site_fract_y
_atom_site_fract_z
La1 La 0.0000 0.0000 0.0000
Mg1 Mg 0.0000 0.2389 0.2545
Mg2 Mg 0.2131 0.0000 0.6245
Mg3 Mg 0.2522 0.2452 0.3899
Mg4 Mg 0.2671 0.0000 0.1462
Mg5 Mg 0.5000 0.0000 0.4853
Mg6 Mg 0.5000 0.0000 0.9797
Mg7 Mg 0.5000 0.2475 0.7329
Co1 Co 0.0000 0.0000 0.4644
```


Simulated powder X-ray diffraction pattern
Compound: Ba3LiOs2O9
Radiation: Cu Kα (λ = 1.5418 Å)
Structure: a structure optimized by DFT (PBE)

Peak list (12 most intense, 2θ from 5° to 70°, by intensity)
h k l  d/Å  Position (°2θ)  intensity
1 1 0  2.950  30.3  100
1 0 1  4.809  18.5  39
1 0 4  2.918  30.6  35
1 0 5  2.485  36.2  35
1 0 0  5.110  17.4  26
2 0 4  2.075  43.6  23
3 0 0  1.703  53.8  20
2 0 5  1.900  47.9  20
2 1 5  1.598  57.7  20
2 2 0  1.475  63.0  19
0 0 2  7.109  12.5  14
1 0 3  3.475  25.6  14

Atomic structure:
```
data_Ba3LiOs2O9
_cell_length_a 5.9003
_cell_length_b 5.9003
_cell_length_c 14.2173
_cell_angle_alpha 90.00
_cell_angle_beta 90.00
_cell_angle_gamma 120.00
_space_group_name_H-M_alt 'P 63/m m c'
_space_group_IT_number 194
_space_group_name_Hall '-P 6c 2c'
loop_
_atom_site_label
_atom_site_type_symbol
_atom_site_fract_x
_atom_site_fract_y
_atom_site_fract_z
Ba1 Ba 0.0000 0.0000 0.2500
Ba2 Ba 0.3333 0.6667 0.0869
Li1 Li 0.0000 0.0000 0.0000
Os1 Os 0.3333 0.6667 0.6600
O1 O 0.0160 0.5080 0.7500
O2 O 0.1769 0.3538 0.5875
```


Simulated powder X-ray diffraction pattern
Compound: K2RbPrCl6
Radiation: Cu Kα (λ = 1.5418 Å)
Structure: a structure optimized by DFT (PBE)

Peak list (12 most intense, 2θ from 5° to 70°, by intensity)
h k l  d/Å  Position (°2θ)  intensity
2 2 0  4.141  21.5  100
4 0 0  2.928  30.5  99
2 0 0  5.856  15.1  96
4 4 0  2.070  43.7  67
4 2 0  2.619  34.2  49
4 2 2  2.391  37.6  45
6 4 2  1.565  59.0  26
6 0 0  1.952  46.5  25
6 2 0  1.852  49.2  24
4 4 4  1.690  54.3  22
1 1 1  6.761  13.1  21
6 4 4  1.420  65.8  14

Atomic structure:
```
data_K2RbPrCl6
_cell_length_a 11.7111
_cell_length_b 11.7111
_cell_length_c 11.7111
_cell_angle_alpha 90.00
_cell_angle_beta 90.00
_cell_angle_gamma 90.00
_space_group_name_H-M_alt 'F m -3 m'
_space_group_IT_number 225
_space_group_name_Hall '-F 4 2 3'
loop_
_atom_site_label
_atom_site_type_symbol
_atom_site_fract_x
_atom_site_fract_y
_atom_site_fract_z
K1 K 0.2500 0.2500 0.2500
Rb1 Rb 0.0000 0.0000 0.0000
Pr1 Pr 0.0000 0.0000 0.5000
Cl1 Cl 0.0000 0.0000 0.2654
```


Simulated powder X-ray diffraction pattern
Compound: FeSe
Radiation: Cu Kα (λ = 1.5418 Å)
Structure: a structure optimized by DFT (PBE)

Peak list (12 most intense, 2θ from 5° to 70°, by intensity)
h k l  d/Å  Position (°2θ)  intensity
1 1 1  2.779  32.2  100
2 1 1  2.013  45.0  79
0 1 3  1.909  47.6  65
1 0 2  2.761  32.4  50
2 0 2  2.006  45.2  38
0 2 0  1.927  47.2  34
2 2 2  1.390  67.4  22
1 2 2  1.580  58.4  18
3 1 1  1.503  61.7  15
2 0 4  1.381  67.9  11
1 0 4  1.567  58.9  8
3 0 2  1.501  61.8  7

Atomic structure:
```
data_FeSe
_cell_length_a 5.0562
_cell_length_b 3.8535
_cell_length_c 6.5921
_cell_angle_alpha 90.00
_cell_angle_beta 90.00
_cell_angle_gamma 90.00
_space_group_name_H-M_alt 'P n m a'
_space_group_IT_number 62
_space_group_name_Hall '-P 2ac 2n'
loop_
_atom_site_label
_atom_site_type_symbol
_atom_site_fract_x
_atom_site_fract_y
_atom_site_fract_z
Fe1 Fe 0.0029 0.2500 0.2441
Se1 Se 0.2413 0.7500 0.4160
```


Simulated powder X-ray diffraction pattern
Compound: Th2CoSi3
Radiation: Cu Kα (λ = 1.5418 Å)
Structure: a structure optimized by DFT (PBE)

Peak list (12 most intense, 2θ from 5° to 70°, by intensity)
h k l  d/Å  Position (°2θ)  intensity
1 1 2  2.683  33.4  100
1 0 3  3.062  29.2  29
0 1 1  3.977  22.4  28
0 1 3  3.093  28.9  25
0 0 4  3.479  25.6  24
1 0 5  2.298  39.2  22
1 0 1  3.911  22.7  21
0 1 5  2.312  39.0  19
1 1 6  1.813  50.3  18
0 2 0  2.075  43.6  16
2 0 0  2.037  44.5  15
1 2 5  1.540  60.1  13

Atomic structure:
```
data_Th2CoSi3
_cell_length_a 4.0749
_cell_length_b 4.1496
_cell_length_c 13.9174
_cell_angle_alpha 90.00
_cell_angle_beta 90.00
_cell_angle_gamma 90.00
_space_group_name_H-M_alt 'I m m 2'
_space_group_IT_number 44
_space_group_name_Hall 'I 2 -2'
loop_
_atom_site_label
_atom_site_type_symbol
_atom_site_fract_x
_atom_site_fract_y
_atom_site_fract_z
Th1 Th 0.0000 0.0000 0.0000
Th2 Th 0.0000 0.5000 0.2469
Co1 Co 0.0000 0.0000 0.5870
Si1 Si 0.0000 0.0000 0.4242
Si2 Si 0.0000 0.5000 0.6614
Si3 Si 0.0000 0.5000 0.8328
```


Simulated powder X-ray diffraction pattern
Compound: K3Sr
Radiation: Cu Kα (λ = 1.5418 Å)
Structure: a structure optimized by DFT (PBE)

Peak list (12 most intense, 2θ from 5° to 70°, by intensity)
h k l  d/Å  Position (°2θ)  intensity
2 0 1  3.521  25.3  100
0 0 2  3.755  23.7  26
2 0 3  2.120  42.6  25
2 2 2  1.962  46.3  23
2 0 0  3.987  22.3  23
2 2 0  2.302  39.1  20
4 0 1  1.927  47.2  19
2 0 2  2.734  32.8  17
4 2 1  1.477  62.9  14
1 0 1  5.467  16.2  12
4 0 3  1.559  59.3  9
2 2 4  1.455  64.0  8

Atomic structure:
```
data_K3Sr
_cell_length_a 9.2069
_cell_length_b 9.2069
_cell_length_c 7.5106
_cell_angle_alpha 90.00
_cell_angle_beta 90.00
_cell_angle_gamma 120.00
_space_group_name_H-M_alt 'P 63/m m c'
_space_group_IT_number 194
_space_group_name_Hall '-P 6c 2c'
loop_
_atom_site_label
_atom_site_type_symbol
_atom_site_fract_x
_atom_site_fract_y
_atom_site_fract_z
K1 K 0.1679 0.3359 0.2500
Sr1 Sr 0.3333 0.6667 0.7500
```


Simulated powder X-ray diffraction pattern
Compound: LuGaO3
Radiation: Cu Kα (λ = 1.5418 Å)
Structure: a structure optimized by DFT (PBE)

Peak list (12 most intense, 2θ from 5° to 70°, by intensity)
h k l  d/Å  Position (°2θ)  intensity
1 1 2  2.668  33.6  100
1 1 0  3.000  29.8  39
3 0 0  1.732  52.9  35
0 0 4  2.918  30.6  32
0 0 2  5.835  15.2  30
1 1 4  2.092  43.3  29
3 0 4  1.489  62.3  28
1 1 1  2.906  30.8  24
1 1 6  1.632  56.4  21
2 2 2  1.453  64.1  17
1 0 6  1.822  50.1  8
1 0 2  3.881  22.9  7

Atomic structure:
```
data_LuGaO3
_cell_length_a 6.0002
_cell_length_b 6.0002
_cell_length_c 11.6708
_cell_angle_alpha 90.00
_cell_angle_beta 90.00
_cell_angle_gamma 120.00
_space_group_name_H-M_alt 'P 63 c m'
_space_group_IT_number 185
_space_group_name_Hall 'P 6c -2'
loop_
_atom_site_label
_atom_site_type_symbol
_atom_site_fract_x
_atom_site_fract_y
_atom_site_fract_z
Lu1 Lu 0.0000 0.0000 0.0000
Lu2 Lu 0.3333 0.6667 0.4595
Ga1 Ga 0.0000 0.3341 0.2262
O1 O 0.0000 0.0000 0.2012
O2 O 0.0000 0.3062 0.3912
O3 O 0.0000 0.3605 0.0628
O4 O 0.3333 0.6667 0.2478
```